Record 1
The following is a theoretical powder XRD pattern of SmEr4Cu4. It was derived from a structure optimized by DFT (PBE), using Cu Kα, 1.54184 Å.
Peak positions follow from Bragg's law for the DFT cell and can differ from measured ones.

Main lines, by intensity (2θ from 5° to 70°):
2θ = 32.01°, d = 2.796 Å, I = 100; 2θ = 27.51°, d = 3.243 Å, I = 70; 2θ = 33.21°, d = 2.698 Å, I = 50; 2θ = 45.89°, d = 1.977 Å, I = 32; 2θ = 44.35°, d = 2.042 Å, I = 25; 2θ = 49.14°, d = 1.854 Å, I = 23; 2θ = 54.34°, d = 1.688 Å, I = 22; 2θ = 39.12°, d = 2.303 Å, I = 18; 2θ = 53.60°, d = 1.710 Å, I = 16; 2θ = 40.06°, d = 2.251 Å, I = 15

Lattice parameters (Å, degrees): 8.843 8.843 5.665 90.00 90.00 90.00
Fractional coordinates of all 18 atoms:
Sm  0.250  0.250  0.250
Sm  0.750  0.750  0.750
Er  0.075  0.659  0.151
Er  0.159  0.925  0.651
Er  0.341  0.575  0.651
Er  0.425  0.841  0.151
Er  0.575  0.159  0.849
Er  0.659  0.425  0.349
Er  0.841  0.075  0.349
Er  0.925  0.341  0.849
Cu  0.029  0.610  0.636
Cu  0.110  0.971  0.136
Cu  0.390  0.529  0.136
Cu  0.471  0.890  0.636
Cu  0.529  0.110  0.364
Cu  0.610  0.471  0.864
Cu  0.890  0.029  0.864
Cu  0.971  0.390  0.364



Record 2
The following is a theoretical powder XRD pattern of SrCuGe2Pt. It was derived from a structure optimized by DFT (PBE), using Cu Kα, 1.54184 Å.
Peak positions follow from Bragg's law for the DFT cell and can differ from measured ones.

Main lines, by intensity (2θ from 5° to 70°):
2θ = 33.74°, d = 2.656 Å, I = 100; 2θ = 41.34°, d = 2.184 Å, I = 61; 2θ = 32.97°, d = 2.717 Å, I = 51; 2θ = 45.58°, d = 1.990 Å, I = 38; 2θ = 22.07°, d = 4.028 Å, I = 37; 2θ = 17.04°, d = 5.205 Å, I = 36; 2θ = 53.85°, d = 1.702 Å, I = 25; 2θ = 61.28°, d = 1.513 Å, I = 21; 2θ = 59.89°, d = 1.544 Å, I = 20; 2θ = 48.44°, d = 1.879 Å, I = 15

Lattice parameters (Å, degrees): 6.052 6.052 6.052 137.69 137.69 61.38
Fractional coordinates of all 5 atoms:
Sr  0.000  0.000  0.000
Cu  0.750  0.250  0.500
Ge  0.371  0.371  0.000
Ge  0.629  0.629  0.000
Pt  0.250  0.750  0.500



Record 3
The following is a theoretical powder XRD pattern of PmErTeC. It was derived from a structure optimized by DFT (PBE), using Cu Kα, 1.54184 Å.
Peak positions follow from Bragg's law for the DFT cell and can differ from measured ones.

Main lines, by intensity (2θ from 5° to 70°):
2θ = 34.01°, d = 2.636 Å, I = 100; 2θ = 31.57°, d = 2.834 Å, I = 79; 2θ = 47.22°, d = 1.925 Å, I = 48; 2θ = 27.06°, d = 3.295 Å, I = 45; 2θ = 61.88°, d = 1.499 Å, I = 35; 2θ = 37.61°, d = 2.391 Å, I = 24; 2θ = 59.46°, d = 1.555 Å, I = 20; 2θ = 50.47°, d = 1.808 Å, I = 18; 2θ = 28.02°, d = 3.185 Å, I = 15; 2θ = 57.91°, d = 1.592 Å, I = 14

Lattice parameters (Å, degrees): 7.510 7.510 7.510 29.70 29.70 29.70
Fractional coordinates of all 4 atoms:
Pm  0.000  0.000  0.000
Er  0.209  0.209  0.209
Te  0.775  0.775  0.775
C  0.601  0.601  0.601



Record 4
The following is a theoretical powder XRD pattern of Pm8Dy3Pu. It was derived from a structure optimized by DFT (PBE), using Cu Kα, 1.54184 Å.
Peak positions follow from Bragg's law for the DFT cell and can differ from measured ones.

Main lines, by intensity (2θ from 5° to 70°):
2θ = 36.17°, d = 2.483 Å, I = 100; 2θ = 29.03°, d = 3.076 Å, I = 72; 2θ = 31.02°, d = 2.883 Å, I = 57; 2θ = 24.14°, d = 3.687 Å, I = 44; 2θ = 43.00°, d = 2.104 Å, I = 44; 2θ = 44.52°, d = 2.035 Å, I = 38; 2θ = 21.12°, d = 4.207 Å, I = 37; 2θ = 14.40°, d = 6.152 Å, I = 32; 2θ = 58.58°, d = 1.576 Å, I = 31; 2θ = 56.22°, d = 1.636 Å, I = 31

Lattice parameters (Å, degrees): 8.432 8.432 8.432 117.88 117.88 93.71
Fractional coordinates of all 12 atoms:
Pm  0.139  0.139  0.751
Pm  0.241  0.711  0.000
Pm  0.289  0.289  0.530
Pm  0.388  0.388  0.249
Pm  0.612  0.861  0.000
Pm  0.711  0.241  0.000
Pm  0.759  0.759  0.470
Pm  0.861  0.612  0.000
Dy  0.000  0.000  0.000
Dy  0.250  0.750  0.500
Dy  0.750  0.250  0.500
Pu  0.500  0.500  0.000



Record 5
The following is a theoretical powder XRD pattern of ZnGa6Ag12. It was derived from a structure optimized by DFT (PBE), using Cu Kα, 1.54184 Å.
Peak positions follow from Bragg's law for the DFT cell and can differ from measured ones.

Main lines, by intensity (2θ from 5° to 70°):
2θ = 38.27°, d = 2.352 Å, I = 100; 2θ = 43.97°, d = 2.059 Å, I = 66; 2θ = 36.49°, d = 2.463 Å, I = 38; 2θ = 62.72°, d = 1.481 Å, I = 22; 2θ = 65.13°, d = 1.432 Å, I = 19; 2θ = 20.35°, d = 4.363 Å, I = 3; 2θ = 24.90°, d = 3.576 Å, I = 2; 2θ = 24.70°, d = 3.605 Å, I = 1; 2θ = 38.14°, d = 2.360 Å, I = 1; 2θ = 32.68°, d = 2.740 Å, I = 1

Lattice parameters (Å, degrees): 7.618 7.618 7.618 110.08 110.08 110.08
Fractional coordinates of all 19 atoms:
Zn  0.000  0.000  0.000
Ga  0.063  0.369  0.588
Ga  0.369  0.588  0.063
Ga  0.412  0.937  0.631
Ga  0.588  0.063  0.369
Ga  0.631  0.412  0.937
Ga  0.937  0.631  0.412
Ag  0.097  0.735  0.159
Ag  0.159  0.097  0.735
Ag  0.204  0.470  0.322
Ag  0.265  0.841  0.903
Ag  0.322  0.204  0.470
Ag  0.470  0.322  0.204
Ag  0.530  0.678  0.796
Ag  0.678  0.796  0.530
Ag  0.735  0.159  0.097
Ag  0.796  0.530  0.678
Ag  0.841  0.903  0.265
Ag  0.903  0.265  0.841



Record 6
The following is a theoretical powder XRD pattern of Rb3AcNp2Se6. It was derived from a structure optimized by DFT (PBE), using Cu Kα, 1.54184 Å.
Peak positions follow from Bragg's law for the DFT cell and can differ from measured ones.

Main lines, by intensity (2θ from 5° to 70°):
2θ = 27.65°, d = 3.227 Å, I = 100; 2θ = 11.04°, d = 8.013 Å, I = 45; 2θ = 40.87°, d = 2.208 Å, I = 37; 2θ = 38.08°, d = 2.363 Å, I = 36; 2θ = 50.05°, d = 1.822 Å, I = 19; 2θ = 24.42°, d = 3.645 Å, I = 16; 2θ = 35.12°, d = 2.555 Å, I = 16; 2θ = 62.61°, d = 1.484 Å, I = 13; 2θ = 42.46°, d = 2.129 Å, I = 11; 2θ = 57.09°, d = 1.613 Å, I = 11

Lattice parameters (Å, degrees): 7.649 7.649 8.411 98.74 98.74 120.00
Fractional coordinates of all 12 atoms:
Rb  0.000  0.000  0.000
Rb  0.336  0.664  0.000
Rb  0.664  0.336  0.000
Ac  0.500  0.500  0.500
Np  0.167  0.833  0.500
Np  0.833  0.167  0.500
Se  0.084  0.433  0.300
Se  0.217  0.217  0.699
Se  0.433  0.084  0.300
Se  0.567  0.916  0.700
Se  0.783  0.783  0.301
Se  0.916  0.567  0.700



Record 7
The following is a theoretical powder XRD pattern of Sc2Hg2Pd5. It was derived from a structure optimized by DFT (PBE), using Cu Kα, 1.54184 Å.
Peak positions follow from Bragg's law for the DFT cell and can differ from measured ones.

Main lines, by intensity (2θ from 5° to 70°):
2θ = 36.23°, d = 2.479 Å, I = 100; 2θ = 43.43°, d = 2.084 Å, I = 92; 2θ = 31.38°, d = 2.850 Å, I = 90; 2θ = 40.77°, d = 2.213 Å, I = 67; 2θ = 17.88°, d = 4.962 Å, I = 61; 2θ = 40.55°, d = 2.225 Å, I = 58; 2θ = 34.66°, d = 2.588 Å, I = 32; 2θ = 25.30°, d = 3.520 Å, I = 26; 2θ = 48.75°, d = 1.868 Å, I = 26; 2θ = 44.86°, d = 2.021 Å, I = 24

Lattice parameters (Å, degrees): 8.552 8.552 8.552 70.94 131.72 131.39
Fractional coordinates of all 18 atoms:
Sc  0.032  0.130  0.162
Sc  0.032  0.370  0.402
Sc  0.968  0.630  0.598
Sc  0.968  0.870  0.838
Hg  0.335  0.614  0.221
Hg  0.352  0.352  0.000
Hg  0.352  0.852  0.500
Hg  0.393  0.114  0.779
Pd  0.493  0.030  0.170
Pd  0.493  0.822  0.963
Pd  0.515  0.236  0.380
Pd  0.515  0.635  0.778
Pd  0.531  0.451  0.580
Pd  0.856  0.135  0.620
Pd  0.856  0.736  0.222
Pd  0.859  0.322  0.830
Pd  0.859  0.530  0.037
Pd  0.872  0.951  0.420



Record 8
The following is a theoretical powder XRD pattern of Er3AgTe4. It was derived from a structure optimized by DFT (PBE), using Cu Kα, 1.54184 Å.
Peak positions follow from Bragg's law for the DFT cell and can differ from measured ones.

Main lines, by intensity (2θ from 5° to 70°):
2θ = 29.15°, d = 3.064 Å, I = 100; 2θ = 41.61°, d = 2.171 Å, I = 38; 2θ = 41.78°, d = 2.162 Å, I = 38; 2θ = 51.75°, d = 1.766 Å, I = 20; 2θ = 68.36°, d = 1.372 Å, I = 17; 2θ = 68.61°, d = 1.368 Å, I = 17; 2θ = 60.43°, d = 1.532 Å, I = 13; 2θ = 51.46°, d = 1.776 Å, I = 7; 2θ = 6.22°, d = 14.207 Å, I = 3; 2θ = 25.21°, d = 3.533 Å, I = 1

Lattice parameters (Å, degrees): 14.425 14.425 14.425 17.24 17.24 17.24
Fractional coordinates of all 8 atoms:
Er  0.000  0.000  0.000
Er  0.250  0.250  0.250
Er  0.750  0.750  0.750
Ag  0.500  0.500  0.500
Te  0.125  0.125  0.125
Te  0.375  0.375  0.375
Te  0.625  0.625  0.625
Te  0.875  0.875  0.875